Record 1
Structure and calculated powder XRD pattern of CeTl2Br4 (a crystal structure in Alexandria, relaxed with GGA-PBE; a wavelength of 1.5418 Å).
No peak broadening, texture or thermal motion is included.

Principal peaks in the range 2θ = 15–90°, sorted by position:
2θ = 21.28°, 4.175 Å, I 60.1
2θ = 21.93°, 4.053 Å, I 35.8
2θ = 30.27°, 2.953 Å, I 100.0
2θ = 30.73°, 2.910 Å, I 29.3
2θ = 37.70°, 2.386 Å, I 18.5
2θ = 43.34°, 2.088 Å, I 28.1
2θ = 43.68°, 2.072 Å, I 22.3
2θ = 44.72°, 2.026 Å, I 23.8
2θ = 53.76°, 1.705 Å, I 23.3
2θ = 71.65°, 1.317 Å, I 18.7

Crystal structure
a b c (Å): 5.904 5.904 16.720
angles (deg): 90.00 90.00 90.00
Space group I4/mmm (No. 139)
Asymmetric unit:
1 Ce 0.000 0.000 0.000
2 Tl 0.000 0.000 0.364
3 Br 0.000 0.000 0.175
4 Br 0.000 0.500 0.000

---

Record 2
Structure and calculated powder XRD pattern of CeTlBr5 (a crystal structure in Alexandria, relaxed with GGA-PBE; a wavelength of 1.5418 Å).
No peak broadening, texture or thermal motion is included.

Principal peaks in the range 2θ = 15–90°, sorted by position:
2θ = 15.15°, 5.846 Å, I 83.2
2θ = 18.59°, 4.772 Å, I 100.0
2θ = 29.40°, 3.038 Å, I 28.8
2θ = 30.58°, 2.923 Å, I 27.7
2θ = 31.59°, 2.832 Å, I 72.9
2θ = 34.21°, 2.621 Å, I 27.1
2θ = 36.84°, 2.440 Å, I 30.0
2θ = 37.41°, 2.404 Å, I 29.1
2θ = 37.88°, 2.375 Å, I 27.2
2θ = 43.73°, 2.070 Å, I 36.6

Crystal structure
a b c (Å): 12.829 8.863 11.331
angles (deg): 90.00 114.30 90.00
Space group C2/c (No. 15)
Asymmetric unit:
1 Ce 0.000 0.000 0.000
2 Tl 0.000 0.470 0.250
3 Br 0.000 0.075 0.250
4 Br 0.077 0.293 0.998
5 Br 0.220 0.103 0.623

---

Record 3
Structure and calculated powder XRD pattern of CeYBr6 (a crystal structure in Alexandria, relaxed with GGA-PBE; a wavelength of 1.5418 Å).
No peak broadening, texture or thermal motion is included.

Principal peaks in the range 2θ = 15–90°, sorted by position:
2θ = 16.85°, 5.260 Å, I 58.8
2θ = 23.01°, 3.865 Å, I 20.9
2θ = 28.32°, 3.151 Å, I 100.0
2θ = 37.07°, 2.425 Å, I 59.3
2θ = 43.67°, 2.073 Å, I 41.7
2θ = 48.66°, 1.871 Å, I 21.1
2θ = 52.87°, 1.732 Å, I 16.2
2θ = 58.59°, 1.576 Å, I 15.0
2θ = 73.52°, 1.288 Å, I 17.3
2θ = 75.85°, 1.254 Å, I 13.7

Crystal structure
a b c (Å): 7.1798 7.1798 19.7320
angles (deg): 90.00 90.00 120.00
Space group R-3 (No. 148, hexagonal axes)
Asymmetric unit:
1 Ce 0.0000 0.0000 0.0000
2 Y 0.0000 0.0000 0.5000
3 Br 0.0054 0.3249 0.5816

---

Record 4
Structure and calculated powder XRD pattern of CeZnBr6 (a crystal structure in Alexandria, relaxed with GGA-PBE; a wavelength of 1.5418 Å).
No peak broadening, texture or thermal motion is included.

Principal peaks in the range 2θ = 15–90°, sorted by position:
2θ = 17.41°, 5.094 Å, I 56.4
2θ = 26.06°, 3.419 Å, I 22.2
2θ = 27.76°, 3.213 Å, I 21.9
2θ = 30.59°, 2.922 Å, I 100.0
2θ = 32.35°, 2.767 Å, I 48.3
2θ = 39.37°, 2.289 Å, I 24.8
2θ = 41.51°, 2.175 Å, I 35.4
2θ = 45.12°, 2.009 Å, I 33.4
2θ = 45.13°, 2.009 Å, I 33.6
2θ = 53.60°, 1.710 Å, I 37.0

Crystal structure
a b c (Å): 6.797 13.044 6.797
angles (deg): 90.00 109.01 90.00
Space group C2/m (No. 12)
Asymmetric unit:
1 Ce 0.000 0.000 0.000
2 Zn 0.000 0.500 0.500
3 Br 0.229 0.356 0.731
4 Br 0.248 0.000 0.751

---

Record 5
Structure and calculated powder XRD pattern of CeZrBr5 (a crystal structure in Alexandria, relaxed with GGA-PBE; a wavelength of 1.5418 Å).
No peak broadening, texture or thermal motion is included.

Principal peaks in the range 2θ = 15–90°, sorted by position:
2θ = 28.71°, 3.110 Å, I 100.0
2θ = 30.96°, 2.889 Å, I 40.6
2θ = 31.70°, 2.822 Å, I 88.1
2θ = 32.13°, 2.786 Å, I 41.1
2θ = 32.24°, 2.777 Å, I 30.0
2θ = 34.50°, 2.600 Å, I 42.3
2θ = 40.24°, 2.241 Å, I 40.9
2θ = 40.98°, 2.202 Å, I 33.7
2θ = 42.45°, 2.130 Å, I 33.0
2θ = 48.61°, 1.873 Å, I 36.0

Crystal structure
a b c (Å): 8.590 3.746 14.446
angles (deg): 90.00 91.07 90.00
Space group P2_1/m (No. 11)
Asymmetric unit:
1 Ce 0.084 0.250 0.357
2 Zr 0.349 0.750 0.181
3 Br 0.029 0.750 0.200
4 Br 0.158 0.250 0.569
5 Br 0.280 0.250 0.047
6 Br 0.350 0.750 0.372
7 Br 0.420 0.750 0.792

---

Record 6
Structure and calculated powder XRD pattern of Br5Cl (a crystal structure in Alexandria, relaxed with GGA-PBE; a wavelength of 1.5418 Å).
No peak broadening, texture or thermal motion is included.

Principal peaks in the range 2θ = 15–90°, sorted by position:
2θ = 21.38°, 4.157 Å, I 100.0
2θ = 24.27°, 3.667 Å, I 74.8
2θ = 25.91°, 3.439 Å, I 70.4
2θ = 35.32°, 2.541 Å, I 23.6
2θ = 38.17°, 2.358 Å, I 19.9
2θ = 38.34°, 2.348 Å, I 20.6
2θ = 40.18°, 2.244 Å, I 18.2
2θ = 41.43°, 2.180 Å, I 20.5
2θ = 41.85°, 2.159 Å, I 16.4
2θ = 47.46°, 1.916 Å, I 22.4

Crystal structure
a b c (Å): 17.748 4.317 7.002
angles (deg): 90.00 105.95 90.00
Space group Cm (No. 8)
Asymmetric unit:
1 Br 0.000 0.000 0.000
2 Br 0.078 0.000 0.329
3 Br 0.167 0.500 0.669
4 Br 0.247 0.500 0.999
5 Br 0.335 0.000 0.337
6 Cl 0.408 0.000 0.645

---

Record 7
Structure and calculated powder XRD pattern of BrCl2 (a crystal structure in Alexandria, relaxed with GGA-PBE; a wavelength of 1.5418 Å).
No peak broadening, texture or thermal motion is included.

Principal peaks in the range 2θ = 15–90°, sorted by position:
2θ = 15.99°, 5.544 Å, I 22.0
2θ = 20.37°, 4.360 Å, I 100.0
2θ = 25.63°, 3.476 Å, I 13.8
2θ = 26.00°, 3.427 Å, I 14.2
2θ = 34.48°, 2.601 Å, I 93.1
2θ = 41.42°, 2.180 Å, I 13.9
2θ = 45.64°, 1.988 Å, I 39.7
2θ = 47.97°, 1.896 Å, I 12.1
2θ = 49.82°, 1.830 Å, I 15.5
2θ = 63.32°, 1.469 Å, I 14.0

Crystal structure
a b c (Å): 4.033 8.719 11.089
angles (deg): 90.00 90.00 90.00
Space group Fmmm (No. 69)
Asymmetric unit:
1 Br 0.000 0.000 0.000
2 Cl 0.000 0.000 0.348

---

Record 8
Structure and calculated powder XRD pattern of Br3Cl (a crystal structure in Alexandria, relaxed with GGA-PBE; a wavelength of 1.5418 Å).
No peak broadening, texture or thermal motion is included.

Principal peaks in the range 2θ = 15–90°, sorted by position:
2θ = 22.81°, 3.899 Å, I 100.0
2θ = 29.34°, 3.045 Å, I 24.9
2θ = 35.37°, 2.538 Å, I 15.7
2θ = 35.98°, 2.496 Å, I 14.8
2θ = 43.02°, 2.102 Å, I 34.6
2θ = 46.59°, 1.949 Å, I 13.1
2θ = 48.29°, 1.885 Å, I 11.0
2θ = 51.34°, 1.780 Å, I 10.3
2θ = 60.23°, 1.537 Å, I 11.8
2θ = 68.77°, 1.365 Å, I 8.6

Crystal structure
a b c (Å): 7.866 5.076 7.883
angles (deg): 90.00 101.30 90.00
Space group C2/m (No. 12)
Asymmetric unit:
1 Br 0.000 0.000 0.000
2 Br 0.232 0.500 0.757
3 Cl 0.000 0.500 0.500

---

Record 9
Structure and calculated powder XRD pattern of BrCl3 (a crystal structure in Alexandria, relaxed with GGA-PBE; a wavelength of 1.5418 Å).
No peak broadening, texture or thermal motion is included.

Principal peaks in the range 2θ = 15–90°, sorted by position:
2θ = 19.59°, 4.532 Å, I 11.4
2θ = 22.18°, 4.009 Å, I 84.3
2θ = 27.00°, 3.302 Å, I 100.0
2θ = 39.78°, 2.266 Å, I 32.2
2θ = 42.01°, 2.151 Å, I 27.2
2θ = 45.86°, 1.979 Å, I 20.6
2θ = 51.50°, 1.774 Å, I 28.4
2θ = 51.65°, 1.770 Å, I 15.1
2θ = 66.02°, 1.415 Å, I 13.4
2θ = 66.38°, 1.408 Å, I 12.7

Crystal structure
a b c (Å): 4.724 16.035 3.624
angles (deg): 90.00 90.00 90.00
Space group Cmmm (No. 65)
Asymmetric unit:
1 Br 0.000 0.000 0.000
2 Cl 0.000 0.500 0.000
3 Cl 0.250 0.250 0.500

---

Record 10
Structure and calculated powder XRD pattern of Br3Cl (a crystal structure in Alexandria, relaxed with GGA-PBE; a wavelength of 1.5418 Å).
No peak broadening, texture or thermal motion is included.

Principal peaks in the range 2θ = 15–90°, sorted by position:
2θ = 21.69°, 4.097 Å, I 85.0
2θ = 22.64°, 3.927 Å, I 100.0
2θ = 22.99°, 3.869 Å, I 92.3
2θ = 28.41°, 3.141 Å, I 21.8
2θ = 38.74°, 2.325 Å, I 20.0
2θ = 39.38°, 2.288 Å, I 16.0
2θ = 39.88°, 2.260 Å, I 24.1
2θ = 40.06°, 2.251 Å, I 22.1
2θ = 40.72°, 2.216 Å, I 21.3
2θ = 46.21°, 1.965 Å, I 25.4

Crystal structure
a b c (Å): 4.734 5.949 6.345
angles (deg): 83.75 84.21 83.35
Space group P1 (No. 1)
Asymmetric unit:
1 Br 0.000 0.000 0.000
2 Br 0.227 0.662 0.854
3 Br 0.735 0.168 0.354
4 Cl 0.515 0.477 0.509

---

Record 11
Structure and calculated powder XRD pattern of FeCoBrCl4 (a crystal structure in Alexandria, relaxed with GGA-PBE; a wavelength of 1.5418 Å).
No peak broadening, texture or thermal motion is included.

Principal peaks in the range 2θ = 15–90°, sorted by position:
2θ = 19.78°, 4.489 Å, I 100.0
2θ = 23.95°, 3.715 Å, I 71.3
2θ = 27.47°, 3.247 Å, I 25.3
2θ = 27.61°, 3.231 Å, I 31.3
2θ = 29.22°, 3.056 Å, I 52.8
2θ = 33.64°, 2.664 Å, I 42.2
2θ = 41.63°, 2.169 Å, I 25.2
2θ = 44.09°, 2.054 Å, I 34.7
2θ = 49.04°, 1.858 Å, I 25.7
2θ = 56.91°, 1.618 Å, I 31.7

Crystal structure
a b c (Å): 13.086 7.431 11.382
angles (deg): 90.00 124.62 90.00
Space group C2/m (No. 12)
Asymmetric unit:
1 Fe 0.153 0.000 0.364
2 Co 0.079 0.500 0.198
3 Br 0.147 0.500 0.046
4 Cl 0.020 0.238 0.252
5 Cl 0.195 0.500 0.657
6 Cl 0.207 0.000 0.589

---

Record 12
Structure and calculated powder XRD pattern of CrBrCl (a crystal structure in Alexandria, relaxed with GGA-PBE; a wavelength of 1.5418 Å).
No peak broadening, texture or thermal motion is included.

Principal peaks in the range 2θ = 15–90°, sorted by position:
2θ = 22.13°, 4.017 Å, I 100.0
2θ = 25.45°, 3.500 Å, I 27.6
2θ = 28.40°, 3.143 Å, I 15.2
2θ = 33.60°, 2.667 Å, I 85.0
2θ = 42.32°, 2.136 Å, I 53.2
2θ = 45.14°, 2.009 Å, I 13.5
2θ = 46.72°, 1.944 Å, I 28.6
2θ = 53.69°, 1.707 Å, I 28.4
2θ = 57.18°, 1.611 Å, I 12.7
2θ = 72.69°, 1.301 Å, I 12.2

Crystal structure
a b c (Å): 3.517 8.034 14.262
angles (deg): 90.00 90.00 90.00
Space group Fmm2 (No. 42)
Asymmetric unit:
1 Cr 0.000 0.000 0.000
2 Br 0.000 0.000 0.624
3 Cl 0.000 0.000 0.389

---

Q: What is the formula in the ninth record?
A: BrCl3

---

Repeat the fifth record exactly.
Structure and calculated powder XRD pattern of CeZrBr5 (a crystal structure in Alexandria, relaxed with GGA-PBE; a wavelength of 1.5418 Å).
No peak broadening, texture or thermal motion is included.

Principal peaks in the range 2θ = 15–90°, sorted by position:
2θ = 28.71°, 3.110 Å, I 100.0
2θ = 30.96°, 2.889 Å, I 40.6
2θ = 31.70°, 2.822 Å, I 88.1
2θ = 32.13°, 2.786 Å, I 41.1
2θ = 32.24°, 2.777 Å, I 30.0
2θ = 34.50°, 2.600 Å, I 42.3
2θ = 40.24°, 2.241 Å, I 40.9
2θ = 40.98°, 2.202 Å, I 33.7
2θ = 42.45°, 2.130 Å, I 33.0
2θ = 48.61°, 1.873 Å, I 36.0

Crystal structure
a b c (Å): 8.590 3.746 14.446
angles (deg): 90.00 91.07 90.00
Space group P2_1/m (No. 11)
Asymmetric unit:
1 Ce 0.084 0.250 0.357
2 Zr 0.349 0.750 0.181
3 Br 0.029 0.750 0.200
4 Br 0.158 0.250 0.569
5 Br 0.280 0.250 0.047
6 Br 0.350 0.750 0.372
7 Br 0.420 0.750 0.792

---

Q: What is the formula in the seventh record?
A: BrCl2